No. 1
Diffraction record for TeAsOs. The powder diffraction line list is theoretical, not measured: it uses DFT lattice parameters and positions (PBE) and Cu Kα X-rays.

The 10 most intense peaks (2θ from 10° to 90°), in order of falling intensity:
two_theta  I/Imax
21.56  100
45.91  79
30.36  79
29.79  73
43.98  73
50.06  67
44.83  65
32.64  61
28.03  42
52.78  38

Atomic structure:
Cell: 6.414 6.366 6.534 Å, 90.00 113.36 90.00°
Fractional coordinates of all 12 atoms:
Te1 0.162 0.130 0.311
Te2 0.162 0.370 0.811
Te3 0.838 0.630 0.189
Te4 0.838 0.870 0.689
As1 0.361 0.636 0.611
As2 0.361 0.864 0.111
As3 0.639 0.136 0.889
As4 0.639 0.364 0.389
Os1 0.237 0.510 0.210
Os2 0.237 0.990 0.710
Os3 0.763 0.010 0.290
Os4 0.763 0.490 0.790

=====

No. 2
Diffraction record for AsP. The powder diffraction line list is theoretical, not measured: it uses DFT lattice parameters and positions (PBE) and Cu Kα X-rays.

The 10 most intense peaks (2θ from 10° to 90°), in order of falling intensity:
two_theta  I/Imax
33.33  100
49.46  34
46.19  32
29.38  30
26.80  20
60.96  17
57.15  15
82.22  14
54.21  14
77.28  10

Atomic structure:
Cell: 3.949 3.949 3.949 Å, 55.64 55.64 55.64°
Fractional coordinates of all 2 atoms:
As1 0.000 0.000 0.000
P1 0.545 0.545 0.545

=====

No. 3
Diffraction record for AsP. The powder diffraction line list is theoretical, not measured: it uses DFT lattice parameters and positions (PBE) and Cu Kα X-rays.

The 10 most intense peaks (2θ from 10° to 90°), in order of falling intensity:
two_theta  I/Imax
33.12  100
31.70  55
32.74  44
25.30  37
15.70  36
19.10  34
52.66  32
47.88  30
52.37  29
24.31  27

Atomic structure:
Cell: 5.917 5.917 4.651 Å, 92.19 92.19 34.54°
Fractional coordinates of all 4 atoms:
As1 0.106 0.106 0.418
As2 0.894 0.894 0.582
P1 0.405 0.405 0.927
P2 0.595 0.595 0.073

=====

No. 4
Diffraction record for AsPRh4. The powder diffraction line list is theoretical, not measured: it uses DFT lattice parameters and positions (PBE) and Cu Kα X-rays.

The 10 most intense peaks (2θ from 10° to 90°), in order of falling intensity:
two_theta  I/Imax
45.37  100
45.23  99
31.60  97
83.73  32
66.00  31
56.35  18
27.31  18
83.83  16
83.42  15
75.13  15

Atomic structure:
Cell: 6.952 6.952 6.952 Å, 33.42 33.42 33.42°
Fractional coordinates of all 6 atoms:
As1 0.000 0.000 0.000
P1 0.500 0.500 0.500
Rh1 0.128 0.128 0.128
Rh2 0.379 0.379 0.379
Rh3 0.621 0.621 0.621
Rh4 0.872 0.872 0.872

=====

No. 5
Diffraction record for AsPRu. The powder diffraction line list is theoretical, not measured: it uses DFT lattice parameters and positions (PBE) and Cu Kα X-rays.

The 10 most intense peaks (2θ from 10° to 90°), in order of falling intensity:
two_theta  I/Imax
34.66  100
22.53  62
48.71  45
54.76  39
45.60  37
29.28  27
80.11  23
37.53  23
44.41  22
48.45  21

Atomic structure:
Cell: 5.327 2.962 6.104 Å, 90.00 91.92 90.00°
Fractional coordinates of all 6 atoms:
As1 0.171 0.000 0.137
As2 0.829 0.000 0.863
P1 0.337 0.500 0.627
P2 0.663 0.500 0.373
Ru1 0.000 0.000 0.500
Ru2 0.500 0.500 0.000

=====

No. 6
Diffraction record for As2P2S7. The powder diffraction line list is theoretical, not measured: it uses DFT lattice parameters and positions (PBE) and Cu Kα X-rays.

The 10 most intense peaks (2θ from 10° to 90°), in order of falling intensity:
two_theta  I/Imax
14.23  100
14.85  73
29.92  22
27.71  20
34.73  18
23.86  17
19.94  16
27.21  13
28.71  12
33.13  11

Atomic structure:
Cell: 12.512 8.632 11.907 Å, 90.00 94.64 90.00°
Fractional coordinates of all 44 atoms:
As1 0.164 0.115 0.318
As2 0.164 0.385 0.818
As3 0.323 0.580 0.851
As4 0.323 0.920 0.351
As5 0.677 0.080 0.649
As6 0.677 0.420 0.149
As7 0.836 0.615 0.182
As8 0.836 0.885 0.682
P1 0.158 0.667 0.614
P2 0.158 0.833 0.114
P3 0.343 0.144 0.115
P4 0.343 0.356 0.615
P5 0.657 0.644 0.385
P6 0.657 0.856 0.885
P7 0.842 0.167 0.886
P8 0.842 0.333 0.386
S1 0.053 0.529 0.699
S2 0.053 0.971 0.199
S3 0.084 0.687 0.010
S4 0.084 0.813 0.510
S5 0.238 0.217 0.699
S6 0.238 0.283 0.199
S7 0.252 0.522 0.515
S8 0.252 0.978 0.015
S9 0.257 0.723 0.239
S10 0.257 0.777 0.739
S11 0.422 0.240 0.509
S12 0.422 0.260 0.009
S13 0.442 0.030 0.239
S14 0.442 0.470 0.739
S15 0.558 0.530 0.261
S16 0.558 0.970 0.761
S17 0.578 0.740 0.991
S18 0.578 0.760 0.491
S19 0.743 0.223 0.261
S20 0.743 0.277 0.761
S21 0.748 0.022 0.985
S22 0.748 0.478 0.485
S23 0.762 0.717 0.801
S24 0.762 0.783 0.301
S25 0.916 0.187 0.490
S26 0.916 0.313 0.990
S27 0.947 0.029 0.801
S28 0.947 0.471 0.301

=====

No. 7
Diffraction record for Zn2Si2As3P. The powder diffraction line list is theoretical, not measured: it uses DFT lattice parameters and positions (PBE) and Cu Kα X-rays.

The 10 most intense peaks (2θ from 10° to 90°), in order of falling intensity:
two_theta  I/Imax
27.85  100
27.74  93
46.34  67
45.74  46
54.31  42
46.59  22
17.75  18
55.64  14
84.94  14
55.44  14

Atomic structure:
Cell: 6.737 6.737 5.602 Å, 114.26 114.26 49.30°
Fractional coordinates of all 8 atoms:
Zn1 0.122 0.122 0.365
Zn2 0.878 0.878 0.635
Si1 0.363 0.393 0.120
Si2 0.607 0.637 0.880
As1 0.491 0.009 0.763
As2 0.726 0.274 0.500
As3 0.991 0.509 0.237
P1 0.259 0.741 0.000

=====

No. 8
Diffraction record for U2AsP. The powder diffraction line list is theoretical, not measured: it uses DFT lattice parameters and positions (PBE) and Cu Kα X-rays.

The 10 most intense peaks (2θ from 10° to 90°), in order of falling intensity:
two_theta  I/Imax
31.48  100
45.11  75
27.17  71
53.46  36
74.68  36
83.27  28
56.04  27
72.48  16
89.61  13
65.71  13

Atomic structure:
Cell: 4.020 4.020 5.684 Å, 90.00 90.00 90.00°
Fractional coordinates of all 4 atoms:
U1 0.000 0.000 0.000
U2 0.500 0.500 0.500
As1 0.000 0.000 0.500
P1 0.500 0.500 0.000

=====

No. 9
Diffraction record for PaAs. The powder diffraction line list is theoretical, not measured: it uses DFT lattice parameters and positions (PBE) and Cu Kα X-rays.

The 10 most intense peaks (2θ from 10° to 90°), in order of falling intensity:
two_theta  I/Imax
30.85  100
44.19  76
26.64  45
73.00  35
54.87  27
81.32  27
52.35  23
64.28  13
70.86  10
87.43  8

Atomic structure:
Cell: 4.099 4.099 4.099 Å, 60.00 60.00 60.00°
Fractional coordinates of all 2 atoms:
Pa1 0.000 0.000 0.000
As1 0.500 0.500 0.500

=====

No. 10
Diffraction record for AsPb3. The powder diffraction line list is theoretical, not measured: it uses DFT lattice parameters and positions (PBE) and Cu Kα X-rays.

The 10 most intense peaks (2θ from 10° to 90°), in order of falling intensity:
two_theta  I/Imax
33.80  100
29.23  24
33.55  23
63.17  22
51.83  20
60.14  20
63.32  16
45.08  15
86.16  14
22.10  13

Atomic structure:
Cell: 7.056 7.056 5.342 Å, 90.00 90.00 120.00°
Fractional coordinates of all 8 atoms:
As1 0.333 0.667 0.250
As2 0.667 0.333 0.750
Pb1 0.174 0.348 0.750
Pb2 0.174 0.826 0.750
Pb3 0.348 0.174 0.250
Pb4 0.652 0.826 0.750
Pb5 0.826 0.174 0.250
Pb6 0.826 0.652 0.250

=====

No. 11
Diffraction record for AsPd3Pb2. The powder diffraction line list is theoretical, not measured: it uses DFT lattice parameters and positions (PBE) and Cu Kα X-rays.

The 10 most intense peaks (2θ from 10° to 90°), in order of falling intensity:
two_theta  I/Imax
29.69  100
29.84  51
39.98  49
45.09  35
40.09  30
33.78  30
39.30  24
33.37  22
53.47  18
63.87  14

Atomic structure:
Cell: 6.995 6.995 5.901 Å, 90.00 90.00 59.58°
Fractional coordinates of all 12 atoms:
As1 0.207 0.793 0.500
As2 0.793 0.207 0.000
Pd1 0.076 0.164 0.705
Pd2 0.164 0.076 0.205
Pd3 0.447 0.553 0.184
Pd4 0.553 0.447 0.684
Pd5 0.836 0.924 0.705
Pd6 0.924 0.836 0.205
Pb1 0.157 0.485 0.897
Pb2 0.485 0.157 0.397
Pb3 0.515 0.843 0.897
Pb4 0.843 0.515 0.397

=====

No. 12
Diffraction record for As4Pb9S15. The powder diffraction line list is theoretical, not measured: it uses DFT lattice parameters and positions (PBE) and Cu Kα X-rays.

The 10 most intense peaks (2θ from 10° to 90°), in order of falling intensity:
two_theta  I/Imax
25.38  100
23.33  82
32.23  64
30.67  61
39.84  39
27.19  33
43.43  32
51.08  30
46.65  28
26.04  21

Atomic structure:
Cell: 10.777 10.777 10.777 Å, 114.26 114.26 114.26°
Fractional coordinates of all 28 atoms:
As1 0.000 0.000 0.000
As2 0.352 0.352 0.787
As3 0.352 0.787 0.352
As4 0.787 0.352 0.352
Pb1 0.187 0.718 0.923
Pb2 0.187 0.923 0.718
Pb3 0.278 0.542 0.542
Pb4 0.542 0.278 0.542
Pb5 0.542 0.542 0.278
Pb6 0.718 0.187 0.923
Pb7 0.718 0.923 0.187
Pb8 0.923 0.187 0.718
Pb9 0.923 0.718 0.187
S1 0.073 0.073 0.266
S2 0.073 0.266 0.073
S3 0.266 0.073 0.073
S4 0.339 0.530 0.984
S5 0.339 0.984 0.530
S6 0.419 0.866 0.866
S7 0.530 0.339 0.984
S8 0.530 0.984 0.339
S9 0.575 0.575 0.832
S10 0.575 0.832 0.575
S11 0.832 0.575 0.575
S12 0.866 0.419 0.866
S13 0.866 0.866 0.419
S14 0.984 0.339 0.530
S15 0.984 0.530 0.339

=====

No. 13
Diffraction record for As4Pb9S15. The powder diffraction line list is theoretical, not measured: it uses DFT lattice parameters and positions (PBE) and Cu Kα X-rays.

The 10 most intense peaks (2θ from 10° to 90°), in order of falling intensity:
two_theta  I/Imax
24.86  100
22.81  72
25.20  58
20.96  52
30.52  46
40.52  45
30.25  44
31.87  43
43.03  41
35.08  39

Atomic structure:
Cell: 10.857 10.857 10.857 Å, 112.98 112.98 112.98°
Fractional coordinates of all 28 atoms:
As1 0.000 0.000 0.000
As2 0.111 0.485 0.485
As3 0.485 0.111 0.485
As4 0.485 0.485 0.111
Pb1 0.015 0.259 0.782
Pb2 0.015 0.782 0.259
Pb3 0.259 0.015 0.782
Pb4 0.259 0.782 0.015
Pb5 0.443 0.443 0.751
Pb6 0.443 0.751 0.443
Pb7 0.751 0.443 0.443
Pb8 0.782 0.015 0.259
Pb9 0.782 0.259 0.015
S1 0.013 0.817 0.817
S2 0.055 0.476 0.668
S3 0.055 0.668 0.476
S4 0.113 0.113 0.602
S5 0.113 0.602 0.113
S6 0.395 0.638 0.638
S7 0.476 0.055 0.668
S8 0.476 0.668 0.055
S9 0.602 0.113 0.113
S10 0.638 0.395 0.638
S11 0.638 0.638 0.395
S12 0.668 0.055 0.476
S13 0.668 0.476 0.055
S14 0.817 0.013 0.817
S15 0.817 0.817 0.013